Starting from DFT lattice parameters and positions (GGA+U), the powder X-ray diffraction pattern of MgCoRuO6 was calculated for Cu Ka.

Atomic structure:
Lattice parameters (Å, degrees): 4.9434 4.9434 8.9617 90.00 90.00 120.00
Space group P-31c (No. 163)
Symmetry-distinct sites (fractional):
Mg1 0.0000 0.0000 0.0000 (multiplicity 2)
Co1 0.3333 0.6667 0.2500 (multiplicity 2)
Ru1 0.3333 0.6667 0.7500 (multiplicity 2)
O1 0.0040 0.3587 0.1340 (multiplicity 12)

Main lines, by angle (2θ = 15–90°):
index, 2θ/deg, Rel. int.
0 0 2, 19.81, 82
1 0 0, 20.75, 41
1 0 1, 23.02, 17
1 0 2, 28.84, 100
1 1 0, 36.35, 45
1 1 2, 41.73, 73
2 0 2, 47.05, 24
1 1 4, 55.34, 68
2 1 2, 60.87, 22
3 0 0, 65.40, 26